[1]
Calculated powder diffractogram
Compound: Ho7InCo4Ge12
Radiation: Cu Kα
Structure: a crystal structure in Alexandria, relaxed with GGA-PBE

Structural model:
```
24
Lattice="10.3493 0.0000 0.0000 0.0000 10.3493 0.0000 0.0000 0.0000 4.1921" Properties=species:S:1:pos:R:3 pbc="T T T"
Ho 0.0000 0.0000 0.0000
Ho 0.0000 5.1746 2.0961
Ho 3.3287 6.9729 2.0961
Ho 3.3764 3.3287 2.0961
Ho 5.1746 0.0000 2.0961
Ho 6.9729 7.0206 2.0961
Ho 7.0206 3.3764 2.0961
In 5.1746 5.1746 0.0000
Co 1.2152 2.8709 0.0000
Co 2.8709 9.1341 0.0000
Co 7.4784 1.2152 0.0000
Co 9.1341 7.4784 0.0000
Ge 0.6709 2.0257 2.0961
Ge 1.1678 7.3869 0.0000
Ge 2.0257 9.6784 2.0961
Ge 2.2079 5.0218 0.0000
Ge 2.9624 1.1678 0.0000
Ge 5.0218 8.1414 0.0000
Ge 5.3275 2.2079 0.0000
Ge 7.3869 9.1815 0.0000
Ge 8.1414 5.3275 0.0000
Ge 8.3236 0.6709 2.0961
Ge 9.1815 2.9624 0.0000
Ge 9.6784 8.3236 2.0961
```

Most intense lines, 15° ≤ 2θ ≤ 90°, sorted by position:
| 2θ/deg | I_rel |
| --- | --- |
| 33.65 | 205 |
| 34.78 | 1000 |
| 37.99 | 299 |
| 38.92 | 254 |
| 43.16 | 261 |
| 43.73 | 110 |
| 47.30 | 121 |
| 56.28 | 147 |
| 59.50 | 144 |
| 65.94 | 88 |
| 67.82 | 110 |
| 73.73 | 116 |

[2]
Calculated powder diffractogram
Compound: PmSmPa2Rh4
Radiation: Cu Kα
Structure: a crystal structure in Alexandria, relaxed with GGA-PBE

Structural model:
```
8
Lattice="0.0000 5.5444 4.2517 3.8030 0.0000 4.2517 3.8030 5.5444 0.0000" Properties=species:S:1:pos:R:3 pbc="T T T"
Pm 0.0000 0.0000 0.0000
Sm 3.8030 5.5444 4.9203
Pa 1.9015 2.7722 2.1449
Pa 5.7045 8.3165 6.3966
Rh 5.2980 5.5444 2.4311
Rh 3.8030 2.8676 4.2086
Rh 2.3080 5.5444 2.4311
Rh 3.8030 8.2211 4.2086
```

Most intense lines, 15° ≤ 2θ ≤ 90°, sorted by position:
| 2θ/deg | I_rel |
| --- | --- |
| 26.42 | 110 |
| 28.46 | 157 |
| 31.56 | 1000 |
| 32.29 | 571 |
| 35.57 | 154 |
| 42.52 | 171 |
| 45.77 | 805 |
| 47.84 | 143 |
| 54.39 | 165 |
| 58.90 | 153 |
| 75.31 | 105 |
| 76.50 | 153 |

[3]
Calculated powder diffractogram
Compound: LiBeRu
Radiation: Cu Kα
Structure: a crystal structure in Alexandria, relaxed with GGA-PBE

Structural model:
```
6
Lattice="1.6911 -5.3159 0.0000 1.6911 5.3159 0.0000 0.0000 0.0000 3.7045" Properties=species:S:1:pos:R:3 pbc="T T T"
Li 1.6911 3.5582 0.0000
Li 1.6911 -3.5582 0.0000
Be 0.0000 0.0000 1.8523
Be 1.6911 0.0000 0.0000
Ru 1.6911 1.5279 1.8523
Ru 1.6911 -1.5279 1.8523
```

Most intense lines, 15° ≤ 2θ ≤ 90°, sorted by position:
| 2θ/deg | I_rel |
| --- | --- |
| 24.02 | 1000 |
| 27.68 | 545 |
| 33.72 | 335 |
| 36.73 | 530 |
| 36.97 | 485 |
| 41.83 | 372 |
| 44.37 | 860 |
| 49.19 | 188 |
| 60.15 | 150 |
| 62.93 | 225 |
| 70.76 | 151 |
| 72.89 | 173 |

[4]
Calculated powder diffractogram
Compound: Sr2Ac6CoRu
Radiation: Cu Kα
Structure: a crystal structure in Alexandria, relaxed with GGA-PBE

Structural model:
```
10
Lattice="0.0000 5.8789 5.8746 5.8716 0.0000 5.8746 5.8716 5.8789 0.0000" Properties=species:S:1:pos:R:3 pbc="T T T"
Sr 2.9358 2.9395 0.0000
Sr 2.9358 2.9395 5.8746
Ac 5.8716 5.8789 0.0254
Ac 5.8716 2.9607 2.9371
Ac 8.7825 5.8789 2.9374
Ac 2.9607 5.8789 2.9374
Ac 5.8716 8.7972 2.9371
Ac 5.8716 5.8789 5.8484
Co 5.8716 5.8789 2.9322
Ru 5.8716 5.8789 8.8173
```

Most intense lines, 15° ≤ 2θ ≤ 90°, sorted by position:
| 2θ/deg | I_rel |
| --- | --- |
| 15.08 | 285 |
| 26.27 | 1000 |
| 30.43 | 814 |
| 34.13 | 160 |
| 43.57 | 618 |
| 51.60 | 494 |
| 54.07 | 220 |
| 63.32 | 103 |
| 69.78 | 205 |
| 71.86 | 285 |
| 80.01 | 215 |
| 85.96 | 122 |

[5]
Calculated powder diffractogram
Compound: Mg2Tl3Pd8
Radiation: Cu Kα
Structure: a crystal structure in Alexandria, relaxed with GGA-PBE

Structural model:
```
13
Lattice="2.6836 1.5494 9.9749 -2.6836 1.5494 9.9749 0.0000 -3.0988 9.9749" Properties=species:S:1:pos:R:3 pbc="T T T"
Mg 0.0000 0.0000 4.1150
Mg 0.0000 0.0000 25.8095
Tl 0.0000 0.0000 9.4358
Tl 0.0000 0.0000 14.9623
Tl 0.0000 0.0000 20.4887
Pd 0.0000 0.0000 6.6839
Pd 0.0000 -1.5394 11.9609
Pd -1.3332 0.7697 11.9609
Pd -1.3332 -0.7697 17.9637
Pd 1.3332 0.7697 11.9609
Pd 1.3332 -0.7697 17.9637
Pd 0.0000 1.5394 17.9637
Pd 0.0000 0.0000 23.2407
```

Most intense lines, 15° ≤ 2θ ≤ 90°, sorted by position:
| 2θ/deg | I_rel |
| --- | --- |
| 19.33 | 361 |
| 28.36 | 301 |
| 33.39 | 553 |
| 35.68 | 300 |
| 38.08 | 643 |
| 38.34 | 1000 |
| 39.23 | 714 |
| 40.65 | 596 |
| 41.69 | 394 |
| 62.98 | 461 |
| 66.64 | 251 |
| 70.13 | 347 |

[6]
Calculated powder diffractogram
Compound: ErZn4Rh2
Radiation: Cu Kα
Structure: a crystal structure in Alexandria, relaxed with GGA-PBE

Structural model:
```
14
Lattice="7.5249 0.0000 0.0000 0.0000 7.5249 0.0000 0.0000 0.0000 4.1151" Properties=species:S:1:pos:R:3 pbc="T T T"
Er 0.0000 0.0000 0.0000
Er 3.7625 3.7625 2.0576
Zn 0.7298 2.6516 2.0576
Zn 1.1109 4.4923 0.0000
Zn 2.6516 0.7298 2.0576
Zn 3.0327 6.4140 0.0000
Zn 4.4923 1.1109 0.0000
Zn 4.8733 6.7951 2.0576
Zn 6.4140 3.0327 0.0000
Zn 6.7951 4.8733 2.0576
Rh 1.6042 5.9207 2.0576
Rh 2.1583 2.1583 0.0000
Rh 5.3666 5.3666 0.0000
Rh 5.9207 1.6042 2.0576
```

Most intense lines, 15° ≤ 2θ ≤ 90°, sorted by position:
| 2θ/deg | I_rel |
| --- | --- |
| 33.69 | 339 |
| 34.43 | 1000 |
| 37.81 | 373 |
| 40.37 | 393 |
| 42.19 | 159 |
| 43.98 | 977 |
| 49.97 | 185 |
| 56.54 | 155 |
| 59.38 | 205 |
| 66.11 | 213 |
| 68.75 | 136 |
| 71.27 | 142 |

[7]
Calculated powder diffractogram
Compound: YHfU2N4
Radiation: Cu Kα
Structure: a crystal structure in Alexandria, relaxed with GGA-PBE

Structural model:
```
8
Lattice="5.8448 0.0000 0.0000 0.0000 3.3521 0.0000 -1.9291 0.0000 5.6198" Properties=species:S:1:pos:R:3 pbc="T T T"
Y 0.0000 0.0000 0.0000
Hf 2.9224 1.6760 0.0000
U -0.9645 1.6760 2.8099
U 1.9579 0.0000 2.8099
N 1.0805 1.6760 1.3845
N 0.1045 0.0000 4.2958
N 3.8112 0.0000 1.3240
N 2.8353 1.6760 4.2353
```

Most intense lines, 15° ≤ 2θ ≤ 90°, sorted by position:
| 2θ/deg | I_rel |
| --- | --- |
| 15.77 | 142 |
| 31.85 | 382 |
| 32.39 | 367 |
| 32.59 | 719 |
| 37.54 | 1000 |
| 53.52 | 118 |
| 53.76 | 235 |
| 54.47 | 225 |
| 63.79 | 171 |
| 64.40 | 121 |
| 64.77 | 163 |
| 68.28 | 115 |

[8]
Calculated powder diffractogram
Compound: Pb4SeCl6
Radiation: Cu Kα
Structure: a crystal structure in Alexandria, relaxed with GGA-PBE

Structural model:
```
22
Lattice="9.9441 0.0000 0.0000 0.0000 9.9441 0.0000 0.0000 0.0000 7.0627" Properties=species:S:1:pos:R:3 pbc="T T T"
Pb 0.0701 2.4860 0.2870
Pb 2.4860 0.0701 3.8184
Pb 2.4860 4.9019 3.8184
Pb 4.9019 2.4860 0.2870
Pb 5.0422 7.4580 6.7757
Pb 7.4580 5.0422 3.2443
Pb 7.4580 9.8739 3.2443
Pb 9.8739 7.4580 6.7757
Se 2.4860 7.4580 5.2970
Se 7.4580 2.4860 1.7657
Cl 0.3897 5.3617 1.7657
Cl 0.3897 9.5544 1.7657
Cl 2.4860 2.4860 2.0270
Cl 2.4860 2.4860 5.5584
Cl 4.5823 5.3617 1.7657
Cl 4.5823 9.5544 1.7657
Cl 5.3617 0.3897 5.2970
Cl 5.3617 4.5823 5.2970
Cl 7.4580 7.4580 1.5043
Cl 7.4580 7.4580 5.0357
Cl 9.5544 0.3897 5.2970
Cl 9.5544 4.5823 5.2970
```

Most intense lines, 15° ≤ 2θ ≤ 90°, sorted by position:
| 2θ/deg | I_rel |
| --- | --- |
| 21.86 | 1000 |
| 25.33 | 164 |
| 36.08 | 679 |
| 42.48 | 103 |
| 42.63 | 361 |
| 43.49 | 90 |
| 52.02 | 81 |
| 56.97 | 87 |
| 58.70 | 83 |
| 64.92 | 123 |
| 69.44 | 85 |
| 80.83 | 89 |